(1)
TlHgSe2: simulated powder XRD pattern (Cu Kα (λ = 1.5418 Å)), based on a crystal structure in Alexandria, relaxed with PBE.

Most intense lines, 10 to 90 degrees two-theta, by intensity:
- 2θ = 39.24°, intensity 100
- 2θ = 23.86°, intensity 90
- 2θ = 23.69°, intensity 88
- 2θ = 46.17°, intensity 31
- 2θ = 46.76°, intensity 29
- 2θ = 46.47°, intensity 29
- 2θ = 39.71°, intensity 20
- 2θ = 71.13°, intensity 19
- 2θ = 27.64°, intensity 19
- 2θ = 71.75°, intensity 14

Structural model:
Cell lengths 4.5399, 6.5367, 9.1770 Å; angles 90.00, 90.03, 90.00 degrees
Fractional positions:
Tl 0.2493 0.0000 0.1401
Tl 0.7507 0.5000 0.8599
Hg 0.2490 0.9988 0.6234
Hg 0.7510 0.4988 0.3766
Se 0.2509 0.7322 0.3917
Se 0.2509 0.7701 0.8707
Se 0.7491 0.2322 0.6083
Se 0.7491 0.2701 0.1293

=====

(2)
TlHg3Se4: simulated powder XRD pattern (Cu Kα (λ = 1.5418 Å)), based on a crystal structure in Alexandria, relaxed with PBE.

Most intense lines, 10 to 90 degrees two-theta, by intensity:
- 2θ = 24.20°, intensity 100
- 2θ = 40.03°, intensity 68
- 2θ = 47.27°, intensity 34
- 2θ = 47.43°, intensity 17
- 2θ = 72.65°, intensity 16
- 2θ = 63.71°, intensity 14
- 2θ = 27.97°, intensity 11
- 2θ = 77.79°, intensity 8
- 2θ = 72.84°, intensity 8
- 2θ = 57.80°, intensity 8

Structural model:
Cell lengths 7.7910, 7.7910, 7.7910 Å; angles 131.66, 131.66, 70.77 degrees
Fractional positions:
Tl 0.0000 0.0000 0.0000
Hg 0.2500 0.7500 0.5000
Hg 0.5000 0.5000 0.0000
Hg 0.7500 0.2500 0.5000
Se 0.1306 0.1306 0.5200
Se 0.3894 0.8694 0.0000
Se 0.6106 0.6106 0.4800
Se 0.8694 0.3894 0.0000